[1]
# ReOs6W
Theoretical X-ray diffraction stick pattern, Cu Kα, 1.54184 Å. Input: a DFT-relaxed cell (GGA-PBE, OQMD).
No peak broadening, texture or thermal motion is included.

Structure:
Cell: 5.530 5.530 4.381 Å, 90.00 90.00 120.00°
Element x y z (fractional)
Re 0.000 0.000 0.000
Os 0.002 0.501 0.000
Os 0.166 0.331 0.500
Os 0.166 0.834 0.500
Os 0.499 0.501 0.000
Os 0.499 0.998 0.000
Os 0.669 0.834 0.500
W 0.667 0.333 0.500

Top 10 peaks for 2θ from 10° to 90°, sorted by position:
| 2θ/deg | I_rel |
| --- | --- |
| 37.56 | 24 |
| 41.21 | 25 |
| 43.05 | 100 |
| 56.98 | 15 |
| 67.79 | 18 |
| 76.39 | 19 |
| 80.17 | 3 |
| 82.51 | 21 |
| 83.76 | 15 |
| 89.49 | 3 |

---

[2]
# Zr2ReOs3
Theoretical X-ray diffraction stick pattern, Cu Kα, 1.54184 Å. Input: a DFT-relaxed cell (GGA-PBE, OQMD).
No peak broadening, texture or thermal motion is included.

Structure:
Cell: 5.301 5.301 8.429 Å, 90.00 90.00 120.00°
Element x y z (fractional)
Zr 0.333 0.667 0.063
Zr 0.333 0.667 0.437
Zr 0.667 0.333 0.563
Zr 0.667 0.333 0.937
Re 0.000 0.000 0.000
Re 0.000 0.000 0.500
Os 0.173 0.345 0.750
Os 0.173 0.827 0.750
Os 0.345 0.173 0.250
Os 0.655 0.827 0.750
Os 0.827 0.173 0.250
Os 0.827 0.655 0.250

Top 10 peaks for 2θ from 10° to 90°, sorted by position:
| 2θ/deg | I_rel |
| --- | --- |
| 19.33 | 27 |
| 37.53 | 45 |
| 40.19 | 87 |
| 40.74 | 100 |
| 42.92 | 27 |
| 44.97 | 41 |
| 64.82 | 22 |
| 69.14 | 28 |
| 71.14 | 28 |
| 86.82 | 22 |

---

[3]
# Os9S8
Theoretical X-ray diffraction stick pattern, Cu Kα, 1.54184 Å. Input: a DFT-relaxed cell (GGA-PBE, OQMD).
No peak broadening, texture or thermal motion is included.

Structure:
Cell: 7.397 7.397 7.397 Å, 60.00 60.00 60.00°
Element x y z (fractional)
Os 0.000 0.000 0.000
Os 0.124 0.625 0.625
Os 0.375 0.375 0.375
Os 0.375 0.375 0.876
Os 0.375 0.876 0.375
Os 0.625 0.124 0.625
Os 0.625 0.625 0.124
Os 0.625 0.625 0.625
Os 0.876 0.375 0.375
S 0.226 0.226 0.774
S 0.226 0.774 0.226
S 0.226 0.774 0.774
S 0.250 0.250 0.250
S 0.750 0.750 0.750
S 0.774 0.226 0.226
S 0.774 0.226 0.774
S 0.774 0.774 0.226

Top 10 peaks for 2θ from 10° to 90°, sorted by position:
| 2θ/deg | I_rel |
| --- | --- |
| 14.67 | 29 |
| 28.29 | 100 |
| 34.29 | 34 |
| 37.47 | 15 |
| 45.03 | 42 |
| 49.27 | 81 |
| 57.79 | 14 |
| 68.95 | 24 |
| 72.25 | 13 |
| 79.32 | 14 |

---

[4]
# ZnOs5S3
Theoretical X-ray diffraction stick pattern, Cu Kα, 1.54184 Å. Input: a DFT-relaxed cell (GGA-PBE, OQMD).
No peak broadening, texture or thermal motion is included.

Structure:
Cell: 7.418 7.418 2.945 Å, 90.00 90.00 120.00°
Element x y z (fractional)
Zn 0.000 0.000 0.000
Os 0.000 0.286 0.500
Os 0.286 0.000 0.500
Os 0.333 0.667 0.500
Os 0.667 0.333 0.500
Os 0.714 0.714 0.500
S 0.000 0.525 0.000
S 0.475 0.475 0.000
S 0.525 0.000 0.000

Top 10 peaks for 2θ from 10° to 90°, sorted by position:
| 2θ/deg | I_rel |
| --- | --- |
| 23.99 | 100 |
| 30.35 | 52 |
| 37.02 | 41 |
| 39.05 | 62 |
| 41.60 | 58 |
| 42.20 | 79 |
| 48.60 | 47 |
| 52.86 | 66 |
| 71.59 | 30 |
| 78.89 | 29 |

---

[5]
# ScSbOs
Theoretical X-ray diffraction stick pattern, Cu Kα, 1.54184 Å. Input: a DFT-relaxed cell (GGA-PBE, OQMD).
No peak broadening, texture or thermal motion is included.

Structure:
Cell: 6.973 6.973 4.031 Å, 90.00 90.00 120.00°
Element x y z (fractional)
Sc 0.000 0.583 0.000
Sc 0.417 0.417 0.000
Sc 0.583 0.000 0.000
Sb 0.000 0.000 0.000
Sb 0.333 0.667 0.500
Sb 0.667 0.333 0.500
Os 0.000 0.244 0.500
Os 0.244 0.000 0.500
Os 0.756 0.756 0.500

Top 10 peaks for 2θ from 10° to 90°, sorted by position:
| 2θ/deg | I_rel |
| --- | --- |
| 14.67 | 40 |
| 22.05 | 57 |
| 25.55 | 38 |
| 33.99 | 77 |
| 37.20 | 83 |
| 39.48 | 65 |
| 45.00 | 61 |
| 45.68 | 100 |
| 61.37 | 47 |
| 72.08 | 32 |

---

[6]
# Zr3Sc3Sb2Os
Theoretical X-ray diffraction stick pattern, Cu Kα, 1.54184 Å. Input: a DFT-relaxed cell (GGA-PBE, OQMD).
No peak broadening, texture or thermal motion is included.

Structure:
Cell: 7.876 7.876 3.728 Å, 90.00 90.00 120.00°
Element x y z (fractional)
Zr 0.000 0.753 0.000
Zr 0.247 0.247 0.000
Zr 0.753 0.000 0.000
Sc 0.000 0.395 0.500
Sc 0.395 0.000 0.500
Sc 0.605 0.605 0.500
Sb 0.333 0.667 0.000
Sb 0.667 0.333 0.000
Os 0.000 0.000 0.500

Top 10 peaks for 2θ from 10° to 90°, sorted by position:
| 2θ/deg | I_rel |
| --- | --- |
| 12.98 | 46 |
| 22.58 | 61 |
| 27.26 | 31 |
| 33.09 | 45 |
| 34.80 | 31 |
| 35.68 | 100 |
| 39.64 | 60 |
| 42.64 | 98 |
| 64.62 | 67 |
| 83.00 | 34 |

---

[7]
# SbOsSe
Theoretical X-ray diffraction stick pattern, Cu Kα, 1.54184 Å. Input: a DFT-relaxed cell (GGA-PBE, OQMD).
No peak broadening, texture or thermal motion is included.

Structure:
Cell: 6.442 6.364 6.485 Å, 90.00 113.02 90.00°
Element x y z (fractional)
Sb 0.144 0.136 0.380
Sb 0.144 0.364 0.880
Sb 0.856 0.636 0.120
Sb 0.856 0.864 0.620
Os 0.287 0.505 0.301
Os 0.287 0.995 0.801
Os 0.713 0.005 0.199
Os 0.713 0.495 0.699
Se 0.349 0.634 0.683
Se 0.349 0.866 0.183
Se 0.651 0.134 0.817
Se 0.651 0.366 0.317

Top 10 peaks for 2θ from 10° to 90°, sorted by position:
| 2θ/deg | I_rel |
| --- | --- |
| 21.61 | 100 |
| 29.94 | 38 |
| 30.14 | 47 |
| 32.68 | 56 |
| 33.34 | 33 |
| 44.02 | 32 |
| 44.33 | 38 |
| 44.62 | 53 |
| 45.98 | 34 |
| 50.03 | 49 |

---

[8]
# Sr2SbOs2
Theoretical X-ray diffraction stick pattern, Cu Kα, 1.54184 Å. Input: a DFT-relaxed cell (GGA-PBE, OQMD).
No peak broadening, texture or thermal motion is included.

Structure:
Cell: 5.909 5.909 12.333 Å, 90.00 90.00 137.72°
Element x y z (fractional)
Sr 0.126 0.874 0.600
Sr 0.126 0.874 0.900
Sr 0.874 0.126 0.100
Sr 0.874 0.126 0.400
Sb 0.429 0.571 0.750
Sb 0.571 0.429 0.250
Os 0.169 0.831 0.151
Os 0.169 0.831 0.349
Os 0.831 0.169 0.651
Os 0.831 0.169 0.849

Top 10 peaks for 2θ from 10° to 90°, sorted by position:
| 2θ/deg | I_rel |
| --- | --- |
| 14.36 | 44 |
| 17.63 | 95 |
| 22.37 | 34 |
| 23.51 | 30 |
| 32.17 | 100 |
| 33.00 | 28 |
| 36.89 | 62 |
| 42.42 | 38 |
| 43.16 | 46 |
| 43.82 | 42 |